Diffraction record for Pr8BiTe6. The powder diffraction line list is simulated, not measured: it uses a crystal structure in Alexandria, relaxed with GGA-PBE and copper Kα.
Intensities are scaled so that the largest is 100.

Atomic structure:
```
data_Pr8BiTe6
_chemical_formula_sum 'Pr8 Bi1 Te6'
_cell_length_a 11.4082
_cell_length_b 11.4082
_cell_length_c 4.5459
_cell_angle_alpha 90.00
_cell_angle_beta 90.00
_cell_angle_gamma 120.00
_space_group_name_H-M_alt 'P -3'
_space_group_IT_number 147
loop_
_space_group_symop_operation_xyz
'x,y,z'
'-x,-y,-z'
'-y,x-y,z'
'y,-x+y,-z'
'-x+y,-x,z'
'x-y,x,-z'
loop_
_atom_site_label
_atom_site_type_symbol
_atom_site_fract_x
_atom_site_fract_y
_atom_site_fract_z
Pr1 Pr 0.0338 0.7240 0.2429
Pr2 Pr 0.3333 0.6667 0.7531
Bi1 Bi 0.0000 0.0000 0.0000
Te1 Te 0.1256 0.4805 0.2520
```

Most intense lines, 2θ = 10–90°, in order of rising 2θ:
25.05°, d 3.555, I 22, hkl 1 1 1; 26.65°, d 3.345, I 37, hkl 0 2 1; 27.08°, d 3.293, I 47, hkl 3 0 0; 30.99°, d 2.886, I 100, hkl 2 1 1; 32.68°, d 2.740, I 43, hkl 3 1 0; 37.22°, d 2.416, I 50, hkl 4 -2 1; 44.67°, d 2.028, I 25, hkl 5 -2 1; 69.77°, d 1.348, I 20, hkl 8 -5 1



Diffraction record for Hg3Pd4Au4. The powder diffraction line list is simulated, not measured: it uses a crystal structure in Alexandria, relaxed with GGA-PBE and copper Kα.
Intensities are scaled so that the largest is 100.

Atomic structure:
```
data_Hg3Pd4Au4
_chemical_formula_sum 'Hg3 Pd4 Au4'
_cell_length_a 3.052
_cell_length_b 3.965
_cell_length_c 16.389
_cell_angle_alpha 96.95
_cell_angle_beta 95.21
_cell_angle_gamma 90.14
_space_group_name_H-M_alt 'P -1'
_space_group_IT_number 2
loop_
_space_group_symop_operation_xyz
'x,y,z'
'-x,-y,-z'
loop_
_atom_site_label
_atom_site_type_symbol
_atom_site_fract_x
_atom_site_fract_y
_atom_site_fract_z
Hg1 Hg 0.000 0.000 0.000
Hg2 Hg 0.362 0.362 0.724
Pd1 Pd 0.183 0.182 0.365
Pd2 Pd 0.454 0.455 0.908
Au1 Au 0.090 0.089 0.180
Au2 Au 0.272 0.272 0.544
```

Most intense lines, 2θ = 10–90°, in order of rising 2θ:
37.18°, d 2.418, I 100, hkl 1 1 -1; 38.06°, d 2.364, I 93, hkl 0 1 5; 42.66°, d 2.119, I 68, hkl 1 0 5; 45.77°, d 1.983, I 28, hkl 0 2 -1; 64.28°, d 1.449, I 20, hkl 1 -2 6; 64.41°, d 1.447, I 20, hkl 1 2 4; 73.93°, d 1.282, I 14, hkl 2 1 4; 75.53°, d 1.259, I 13, hkl 1 1 10



Diffraction record for Mn2GeHSe. The powder diffraction line list is simulated, not measured: it uses a crystal structure in Alexandria, relaxed with GGA-PBE and copper Kα.
Intensities are scaled so that the largest is 100.

Atomic structure:
```
data_Mn2GeHSe
_chemical_formula_sum 'Mn4 Ge2 H2 Se2'
_cell_length_a 3.296
_cell_length_b 3.296
_cell_length_c 12.406
_cell_angle_alpha 90.00
_cell_angle_beta 90.00
_cell_angle_gamma 90.00
_space_group_name_H-M_alt 'I 4 m m'
_space_group_IT_number 107
_space_group_name_Hall 'I 4 -2'
loop_
_atom_site_label
_atom_site_type_symbol
_atom_site_fract_x
_atom_site_fract_y
_atom_site_fract_z
Mn1 Mn 0.000 0.000 0.000
Mn2 Mn 0.000 0.000 0.366
Ge1 Ge 0.000 0.000 0.799
H1 H 0.000 0.000 0.237
Se1 Se 0.000 0.000 0.573
```

Most intense lines, 2θ = 10–90°, in order of rising 2θ:
14.28°, d 6.203, I 22, hkl 0 0 2; 28.01°, d 3.185, I 33, hkl 1 0 1; 28.79°, d 3.101, I 39, hkl 0 0 4; 38.63°, d 2.331, I 100, hkl 1 1 0; 45.77°, d 1.982, I 96, hkl 1 0 5; 48.88°, d 1.863, I 36, hkl 1 1 4; 55.78°, d 1.648, I 32, hkl 2 0 0; 74.94°, d 1.267, I 42, hkl 2 1 5



Diffraction record for Rb2InCl3. The powder diffraction line list is simulated, not measured: it uses a crystal structure in Alexandria, relaxed with GGA-PBE and copper Kα.
Intensities are scaled so that the largest is 100.

Atomic structure:
```
data_Rb2InCl3
_chemical_formula_sum 'Rb4 In2 Cl6'
_cell_length_a 4.688
_cell_length_b 13.989
_cell_length_c 6.671
_cell_angle_alpha 90.00
_cell_angle_beta 90.00
_cell_angle_gamma 90.00
_space_group_name_H-M_alt 'P m m n'
_space_group_IT_number 59
loop_
_space_group_symop_operation_xyz
'x,y,z'
'-x,-y,-z'
'-x+1/2,-y+1/2,z'
'x+1/2,y+1/2,-z'
'x+1/2,-y,-z'
'-x+1/2,y,z'
'-x,y+1/2,-z'
'x,-y+1/2,z'
loop_
_atom_site_label
_atom_site_type_symbol
_atom_site_fract_x
_atom_site_fract_y
_atom_site_fract_z
Rb1 Rb 0.250 0.084 0.248
In1 In 0.250 0.750 0.249
Cl1 Cl 0.250 0.087 0.749
Cl2 Cl 0.250 0.750 0.813
```

Most intense lines, 2θ = 10–90°, in order of rising 2θ:
23.23°, d 3.829, I 58, hkl 1 0 1; 26.73°, d 3.336, I 48, hkl 0 0 2; 26.97°, d 3.306, I 100, hkl 1 3 0; 38.35°, d 2.347, I 90, hkl 2 0 0; 38.62°, d 2.331, I 18, hkl 0 6 0; 47.40°, d 1.918, I 19, hkl 2 0 2; 47.58°, d 1.911, I 18, hkl 0 6 2; 62.72°, d 1.481, I 24, hkl 3 3 0



Diffraction record for Pm2Cu3Ag. The powder diffraction line list is simulated, not measured: it uses a crystal structure in Alexandria, relaxed with GGA-PBE and copper Kα.
Intensities are scaled so that the largest is 100.

Atomic structure:
```
data_Pm2Cu3Ag
_chemical_formula_sum 'Pm16 Cu24 Ag8'
_cell_length_a 7.375
_cell_length_b 8.844
_cell_length_c 15.260
_cell_angle_alpha 90.00
_cell_angle_beta 90.00
_cell_angle_gamma 90.00
_space_group_name_H-M_alt 'F m m m'
_space_group_IT_number 69
_space_group_name_Hall '-F 2 2'
loop_
_atom_site_label
_atom_site_type_symbol
_atom_site_fract_x
_atom_site_fract_y
_atom_site_fract_z
Pm1 Pm 0.247 0.000 0.000
Pm2 Pm 0.250 0.250 0.250
Cu1 Cu 0.000 0.000 0.162
Cu2 Cu 0.000 0.242 0.081
Ag1 Ag 0.000 0.000 0.334
```

Most intense lines, 2θ = 10–90°, in order of rising 2θ:
23.27°, d 3.822, I 11, hkl 0 2 2; 33.78°, d 2.654, I 100, hkl 2 0 4; 40.81°, d 2.211, I 18, hkl 0 4 0; 40.93°, d 2.205, I 35, hkl 0 2 6; 49.44°, d 1.844, I 10, hkl 4 0 0; 54.00°, d 1.698, I 17, hkl 2 4 4; 66.03°, d 1.415, I 25, hkl 4 4 0; 70.00°, d 1.344, I 15, hkl 2 2 10



Diffraction record for ErTmH. The powder diffraction line list is simulated, not measured: it uses a crystal structure in Alexandria, relaxed with GGA-PBE and copper Kα.
Intensities are scaled so that the largest is 100.

Atomic structure:
```
data_ErTmH
_chemical_formula_sum 'Er1 Tm1 H1'
_cell_length_a 3.5690
_cell_length_b 3.5690
_cell_length_c 5.4730
_cell_angle_alpha 90.00
_cell_angle_beta 90.00
_cell_angle_gamma 120.00
_space_group_name_H-M_alt 'P 3 m 1'
_space_group_IT_number 156
loop_
_space_group_symop_operation_xyz
'x,y,z'
'-y,x-y,z'
'-x+y,-x,z'
'-y,-x,z'
'-x+y,y,z'
'x,x-y,z'
loop_
_atom_site_label
_atom_site_type_symbol
_atom_site_fract_x
_atom_site_fract_y
_atom_site_fract_z
Er1 Er 0.0000 0.0000 0.0000
Tm1 Tm 0.3333 0.6667 0.4918
H1 H 0.6667 0.3333 0.2471
```

Most intense lines, 2θ = 10–90°, in order of rising 2θ:
28.89°, d 3.091, I 24, hkl 1 0 0; 32.73°, d 2.736, I 23, hkl 0 0 2; 33.29°, d 2.691, I 100, hkl 0 1 1; 44.21°, d 2.049, I 16, hkl 1 0 2; 51.19°, d 1.784, I 20, hkl 1 1 0; 58.77°, d 1.571, I 20, hkl 0 1 3; 62.10°, d 1.495, I 22, hkl 1 1 2; 62.44°, d 1.487, I 17, hkl 2 0 1



Diffraction record for NaLiPm. The powder diffraction line list is simulated, not measured: it uses a crystal structure in Alexandria, relaxed with GGA-PBE and copper Kα.
Intensities are scaled so that the largest is 100.

Atomic structure:
```
data_NaLiPm
_chemical_formula_sum 'Na4 Li4 Pm4'
_cell_length_a 3.355
_cell_length_b 3.355
_cell_length_c 32.184
_cell_angle_alpha 90.00
_cell_angle_beta 90.00
_cell_angle_gamma 90.00
_space_group_name_H-M_alt 'I 4/m m m'
_space_group_IT_number 139
_space_group_name_Hall '-I 4 2'
loop_
_atom_site_label
_atom_site_type_symbol
_atom_site_fract_x
_atom_site_fract_y
_atom_site_fract_z
Na1 Na 0.000 0.000 0.205
Li1 Li 0.000 0.000 0.371
Pm1 Pm 0.000 0.000 0.053
```

Most intense lines, 2θ = 10–90°, in order of rising 2θ:
22.10°, d 4.023, I 39, hkl 0 0 8; 26.71°, d 3.337, I 100, hkl 1 0 1; 33.05°, d 2.710, I 46, hkl 1 0 7; 36.73°, d 2.447, I 38, hkl 1 0 9; 37.93°, d 2.372, I 30, hkl 1 1 0; 40.93°, d 2.205, I 24, hkl 1 0 11; 44.33°, d 2.044, I 25, hkl 1 1 8; 65.40°, d 1.427, I 19, hkl 1 1 18



Diffraction record for MnRu5. The powder diffraction line list is simulated, not measured: it uses a crystal structure in Alexandria, relaxed with GGA-PBE and copper Kα.
Intensities are scaled so that the largest is 100.

Atomic structure:
```
data_MnRu5
_chemical_formula_sum 'Mn2 Ru10'
_cell_length_a 9.719
_cell_length_b 2.700
_cell_length_c 6.319
_cell_angle_alpha 90.00
_cell_angle_beta 103.69
_cell_angle_gamma 90.00
_space_group_name_H-M_alt 'C 1 m 1'
_space_group_IT_number 8
loop_
_space_group_symop_operation_xyz
'x,y,z'
'x,-y,z'
'x+1/2,y+1/2,z'
'x+1/2,-y+1/2,z'
loop_
_atom_site_label
_atom_site_type_symbol
_atom_site_fract_x
_atom_site_fract_y
_atom_site_fract_z
Mn1 Mn 0.000 0.000 0.000
Ru1 Ru 0.056 0.000 0.617
Ru2 Ru 0.166 0.500 0.331
Ru3 Ru 0.220 0.500 0.949
Ru4 Ru 0.336 0.000 0.674
Ru5 Ru 0.392 0.000 0.273
```

Most intense lines, 2θ = 10–90°, in order of rising 2θ:
38.54°, d 2.336, I 25, hkl 2 0 2; 42.42°, d 2.131, I 25, hkl 4 0 -2; 44.21°, d 2.048, I 100, hkl 3 1 0; 58.64°, d 1.574, I 14, hkl 6 0 0; 69.77°, d 1.348, I 11, hkl 3 1 3; 78.86°, d 1.214, I 17, hkl 7 1 -2; 85.18°, d 1.139, I 13, hkl 7 1 1; 86.32°, d 1.127, I 9, hkl 4 2 1



Diffraction record for BaNb3NO7. The powder diffraction line list is simulated, not measured: it uses a crystal structure in Alexandria, relaxed with GGA-PBE and copper Kα.
Intensities are scaled so that the largest is 100.

Atomic structure:
```
data_BaNb3NO7
_chemical_formula_sum 'Ba4 Nb12 N4 O28'
_cell_length_a 21.223
_cell_length_b 3.883
_cell_length_c 9.121
_cell_angle_alpha 90.00
_cell_angle_beta 90.74
_cell_angle_gamma 90.00
_space_group_name_H-M_alt 'C 1 m 1'
_space_group_IT_number 8
loop_
_space_group_symop_operation_xyz
'x,y,z'
'x,-y,z'
'x+1/2,y+1/2,z'
'x+1/2,-y+1/2,z'
loop_
_atom_site_label
_atom_site_type_symbol
_atom_site_fract_x
_atom_site_fract_y
_atom_site_fract_z
Ba1 Ba 0.000 0.000 0.000
Ba2 Ba 0.028 0.000 0.463
Nb1 Nb 0.138 0.500 0.172
Nb2 Nb 0.141 0.500 0.777
Nb3 Nb 0.247 0.000 0.979
Nb4 Nb 0.263 0.500 0.476
Nb5 Nb 0.372 0.000 0.298
Nb6 Nb 0.378 0.000 0.681
N1 N 0.064 0.500 0.268
N2 N 0.203 0.500 0.336
O1 O 0.078 0.500 0.639
O2 O 0.089 0.500 0.955
O3 O 0.160 0.000 0.118
O4 O 0.163 0.000 0.812
O5 O 0.217 0.500 0.649
O6 O 0.223 0.500 0.968
O7 O 0.297 0.000 0.484
O8 O 0.299 0.000 0.141
O9 O 0.308 0.000 0.830
O10 O 0.351 0.500 0.324
O11 O 0.364 0.500 0.649
O12 O 0.426 0.000 0.480
O13 O 0.434 0.000 0.162
O14 O 0.446 0.000 0.805
```

Most intense lines, 2θ = 10–90°, in order of rising 2θ:
25.59°, d 3.480, I 82, hkl 4 0 -2; 25.93°, d 3.436, I 93, hkl 4 0 2; 26.18°, d 3.404, I 82, hkl 3 1 0; 27.92°, d 3.195, I 34, hkl 3 1 -1; 30.53°, d 2.928, I 100, hkl 1 1 2; 31.22°, d 2.865, I 41, hkl 5 1 0; 33.79°, d 2.653, I 30, hkl 8 0 0; 46.80°, d 1.941, I 36, hkl 0 2 0



Diffraction record for Cs2Rb6O. The powder diffraction line list is simulated, not measured: it uses a crystal structure in Alexandria, relaxed with GGA-PBE and copper Kα.
Intensities are scaled so that the largest is 100.

Atomic structure:
```
data_Cs2Rb6O
_chemical_formula_sum 'Cs6 Rb18 O3'
_cell_length_a 9.6873
_cell_length_b 9.6873
_cell_length_c 25.2100
_cell_angle_alpha 90.00
_cell_angle_beta 90.00
_cell_angle_gamma 120.00
_space_group_name_H-M_alt 'R 3 m'
_space_group_IT_number 160
_space_group_name_Hall 'R 3 -2"'
loop_
_atom_site_label
_atom_site_type_symbol
_atom_site_fract_x
_atom_site_fract_y
_atom_site_fract_z
Cs1 Cs 0.0000 0.0000 0.0000
Cs2 Cs 0.0000 0.0000 0.2011
Rb1 Rb 0.0600 0.5300 0.0555
Rb2 Rb 0.0693 0.5347 0.1993
O1 O 0.0000 0.0000 0.4623
```

Most intense lines, 2θ = 10–90°, in order of rising 2θ:
20.55°, d 4.322, I 23, hkl 0 1 5; 21.15°, d 4.201, I 40, hkl 0 0 6; 21.48°, d 4.138, I 100, hkl 0 2 1; 22.34°, d 3.980, I 31, hkl 2 0 2; 27.66°, d 3.225, I 37, hkl 2 0 5; 32.77°, d 2.732, I 23, hkl 0 2 7; 37.11°, d 2.423, I 30, hkl 2 2 0; 38.68°, d 2.328, I 18, hkl 0 3 6



Diffraction record for HgBi3. The powder diffraction line list is simulated, not measured: it uses a crystal structure in Alexandria, relaxed with GGA-PBE and copper Kα.
Intensities are scaled so that the largest is 100.

Atomic structure:
```
data_HgBi3
_chemical_formula_sum 'Hg2 Bi6'
_cell_length_a 8.347
_cell_length_b 3.579
_cell_length_c 8.351
_cell_angle_alpha 90.00
_cell_angle_beta 91.77
_cell_angle_gamma 90.00
_space_group_name_H-M_alt 'P 1 21/m 1'
_space_group_IT_number 11
loop_
_space_group_symop_operation_xyz
'x,y,z'
'-x,-y,-z'
'-x,y+1/2,-z'
'x,-y+1/2,z'
loop_
_atom_site_label
_atom_site_type_symbol
_atom_site_fract_x
_atom_site_fract_y
_atom_site_fract_z
Hg1 Hg 0.121 0.250 0.381
Bi1 Bi 0.122 0.250 0.883
Bi2 Bi 0.383 0.750 0.115
Bi3 Bi 0.385 0.750 0.624
```

Most intense lines, 2θ = 10–90°, in order of rising 2θ:
29.81°, d 2.997, I 32, hkl 2 0 -2; 30.77°, d 2.906, I 30, hkl 2 0 2; 32.97°, d 2.717, I 100, hkl 2 1 0; 43.37°, d 2.086, I 23, hkl 4 0 0; 54.95°, d 1.671, I 23, hkl 4 1 -2; 56.12°, d 1.639, I 23, hkl 4 1 2; 69.16°, d 1.358, I 12, hkl 4 2 0; 72.98°, d 1.296, I 10, hkl 6 1 0



Diffraction record for AlIr2Pt. The powder diffraction line list is simulated, not measured: it uses a crystal structure in Alexandria, relaxed with GGA-PBE and copper Kα.
Intensities are scaled so that the largest is 100.

Atomic structure:
```
data_AlIr2Pt
_chemical_formula_sum 'Al1 Ir2 Pt1'
_cell_length_a 2.778
_cell_length_b 2.778
_cell_length_c 7.552
_cell_angle_alpha 90.00
_cell_angle_beta 90.00
_cell_angle_gamma 90.00
_space_group_name_H-M_alt 'P 4 m m'
_space_group_IT_number 99
loop_
_space_group_symop_operation_xyz
'x,y,z'
'-y,x,z'
'-x,-y,z'
'y,-x,z'
'-x,y,z'
'y,x,z'
'x,-y,z'
'-y,-x,z'
loop_
_atom_site_label
_atom_site_type_symbol
_atom_site_fract_x
_atom_site_fract_y
_atom_site_fract_z
Al1 Al 0.000 0.000 0.000
Ir1 Ir 0.000 0.000 0.487
Ir2 Ir 0.500 0.500 0.239
Pt1 Pt 0.500 0.500 0.763
```

Most intense lines, 2θ = 10–90°, in order of rising 2θ:
11.72°, d 7.552, I 23, hkl 0 0 1; 34.39°, d 2.608, I 16, hkl 1 0 1; 40.30°, d 2.238, I 100, hkl 1 0 2; 46.21°, d 1.965, I 35, hkl 1 1 0; 48.20°, d 1.888, I 14, hkl 0 0 4; 67.41°, d 1.389, I 11, hkl 2 0 0; 68.99°, d 1.361, I 20, hkl 1 1 4; 81.56°, d 1.180, I 27, hkl 2 1 2